Entry 1:
# CsNbN2
Calculated powder X-ray diffraction pattern, Cu Kα. Input: a DFT-relaxed cell (PBE, the Materials Project).
No peak broadening, texture or thermal motion is included.

Most intense lines, 2θ from 10° to 90°, by intensity:
2θ 28.03, intensity 100
2θ 49.61, intensity 40
2θ 79.71, intensity 20
2θ 65.59, intensity 17
2θ 57.95, intensity 15
2θ 40.06, intensity 15
2θ 33.00, intensity 4
2θ 72.78, intensity 4
2θ 86.49, intensity 2
2θ 52.84, intensity 1

Cell and atoms:
Cell lengths 6.366, 6.366, 6.366 Å; angles 60.00, 60.00, 60.00 degrees
Fractional coordinates of all 8 atoms:
Cs 0.125 0.125 0.125
Cs 0.875 0.875 0.875
Nb 0.375 0.375 0.375
Nb 0.625 0.625 0.625
N 0.000 0.500 0.500
N 0.500 0.000 0.500
N 0.500 0.500 0.000
N 0.500 0.500 0.500

Entry 2:
# ZnIn2S4
Calculated powder X-ray diffraction pattern, Cu Kα. Input: a DFT-relaxed cell (PBE, the Materials Project).
No peak broadening, texture or thermal motion is included.

Most intense lines, 2θ from 10° to 90°, by intensity:
2θ 21.13, intensity 100
2θ 27.70, intensity 64
2θ 32.42, intensity 64
2θ 46.45, intensity 49
2θ 26.16, intensity 38
2θ 26.55, intensity 37
2θ 40.58, intensity 35
2θ 48.97, intensity 34
2θ 28.21, intensity 32
2θ 45.76, intensity 26

Cell and atoms:
Cell lengths 6.742, 3.965, 12.787 Å; angles 90.00, 99.42, 90.00 degrees
Fractional coordinates of all 14 atoms:
Zn 0.237 0.000 0.198
Zn 0.763 0.000 0.802
In 0.000 0.000 0.500
In 0.277 0.500 0.814
In 0.500 0.500 0.500
In 0.723 0.500 0.186
S 0.109 0.000 0.876
S 0.201 0.500 0.610
S 0.297 0.000 0.390
S 0.358 0.500 0.130
S 0.642 0.500 0.870
S 0.703 0.000 0.610
S 0.799 0.500 0.390
S 0.891 0.000 0.124

Entry 3:
# K5Na3Ta3Nb5O24
Calculated powder X-ray diffraction pattern, Cu Kα. Input: a DFT-relaxed cell (PBE, the Materials Project).
No peak broadening, texture or thermal motion is included.

Most intense lines, 2θ from 10° to 90°, by intensity:
2θ 31.42, intensity 100
2θ 22.08, intensity 70
2θ 55.94, intensity 39
2θ 45.03, intensity 37
2θ 50.70, intensity 29
2θ 65.58, intensity 22
2θ 74.52, intensity 17
2θ 70.11, intensity 14
2θ 10.99, intensity 10
2θ 83.10, intensity 7

Cell and atoms:
Cell lengths 8.052, 8.053, 8.054 Å; angles 90.00, 90.00, 90.00 degrees
Fractional coordinates of all 40 atoms:
K 0.000 0.000 0.000
K 0.000 0.000 0.500
K 0.000 0.500 0.000
K 0.000 0.500 0.500
K 0.500 0.000 0.000
Na 0.500 0.000 0.500
Na 0.500 0.500 0.000
Na 0.500 0.500 0.500
Ta 0.251 0.250 0.250
Ta 0.251 0.750 0.250
Ta 0.749 0.750 0.250
Nb 0.251 0.250 0.750
Nb 0.251 0.750 0.750
Nb 0.749 0.250 0.250
Nb 0.749 0.250 0.750
Nb 0.749 0.750 0.750
O 0.000 0.250 0.750
O 0.000 0.750 0.250
O 0.000 0.750 0.750
O 0.001 0.250 0.250
O 0.251 0.000 0.251
O 0.251 0.000 0.749
O 0.251 0.251 0.001
O 0.251 0.749 0.001
O 0.252 0.250 0.499
O 0.252 0.500 0.250
O 0.252 0.500 0.750
O 0.252 0.750 0.499
O 0.499 0.251 0.251
O 0.500 0.251 0.749
O 0.500 0.749 0.251
O 0.500 0.749 0.749
O 0.749 0.000 0.749
O 0.749 0.250 0.500
O 0.749 0.251 0.000
O 0.749 0.500 0.750
O 0.749 0.501 0.250
O 0.749 0.749 0.001
O 0.749 0.750 0.499
O 0.749 0.999 0.251

Entry 4:
# PrSn4Rh2
Calculated powder X-ray diffraction pattern, Cu Kα. Input: a DFT-relaxed cell (PBE, the Materials Project).
No peak broadening, texture or thermal motion is included.

Most intense lines, 2θ from 10° to 90°, by intensity:
2θ 33.05, intensity 100
2θ 33.33, intensity 61
2θ 39.50, intensity 49
2θ 35.77, intensity 29
2θ 43.13, intensity 22
2θ 34.81, intensity 22
2θ 62.38, intensity 21
2θ 54.34, intensity 18
2θ 62.89, intensity 16
2θ 40.15, intensity 15

Cell and atoms:
Cell lengths 18.742, 4.562, 7.220 Å; angles 90.00, 90.00, 90.00 degrees
Fractional coordinates of all 28 atoms:
Pr 0.142 0.250 0.001
Pr 0.358 0.750 0.501
Pr 0.642 0.250 0.499
Pr 0.858 0.750 0.999
Sn 0.031 0.750 0.864
Sn 0.068 0.250 0.483
Sn 0.182 0.750 0.303
Sn 0.195 0.750 0.722
Sn 0.305 0.250 0.222
Sn 0.318 0.250 0.803
Sn 0.432 0.750 0.983
Sn 0.469 0.250 0.364
Sn 0.531 0.750 0.636
Sn 0.568 0.250 0.017
Sn 0.682 0.750 0.197
Sn 0.695 0.750 0.778
Sn 0.805 0.250 0.278
Sn 0.818 0.250 0.697
Sn 0.932 0.750 0.517
Sn 0.969 0.250 0.136
Rh 0.035 0.750 0.251
Rh 0.213 0.250 0.518
Rh 0.287 0.750 0.018
Rh 0.465 0.250 0.751
Rh 0.535 0.750 0.249
Rh 0.713 0.250 0.982
Rh 0.787 0.750 0.482
Rh 0.965 0.250 0.749

Entry 5:
# ErInPt
Calculated powder X-ray diffraction pattern, Cu Kα. Input: a DFT-relaxed cell (PBE, the Materials Project).
No peak broadening, texture or thermal motion is included.

Most intense lines, 2θ from 10° to 90°, by intensity:
2θ 35.79, intensity 100
2θ 33.06, intensity 64
2θ 40.76, intensity 41
2θ 43.09, intensity 28
2θ 64.32, intensity 28
2θ 65.99, intensity 27
2θ 47.47, intensity 26
2θ 75.80, intensity 15
2θ 60.84, intensity 12
2θ 26.87, intensity 12

Cell and atoms:
Cell lengths 7.669, 7.669, 3.829 Å; angles 90.00, 90.00, 120.00 degrees
Fractional coordinates of all 9 atoms:
Er 0.000 0.405 0.000
Er 0.405 0.000 0.000
Er 0.595 0.595 0.000
In 0.000 0.738 0.500
In 0.262 0.262 0.500
In 0.738 0.000 0.500
Pt 0.000 0.000 0.000
Pt 0.333 0.667 0.500
Pt 0.667 0.333 0.500

Entry 6:
# MnCr2S4
Calculated powder X-ray diffraction pattern, Cu Kα. Input: a DFT-relaxed cell (PBE, the Materials Project).
No peak broadening, texture or thermal motion is included.

Most intense lines, 2θ from 10° to 90°, by intensity:
2θ 29.24, intensity 100
2θ 51.00, intensity 95
2θ 35.45, intensity 59
2θ 46.59, intensity 52
2θ 24.86, intensity 33
2θ 15.15, intensity 18
2θ 71.55, intensity 16
2θ 75.01, intensity 13
2θ 85.80, intensity 12
2θ 82.46, intensity 12

Cell and atoms:
Cell lengths 7.163, 7.163, 7.163 Å; angles 60.00, 60.00, 60.00 degrees
Fractional coordinates of all 14 atoms:
Mn 0.125 0.125 0.125
Mn 0.875 0.875 0.875
Cr 0.000 0.500 0.500
Cr 0.500 0.000 0.500
Cr 0.500 0.500 0.000
Cr 0.500 0.500 0.500
S 0.261 0.261 0.261
S 0.261 0.261 0.717
S 0.261 0.717 0.261
S 0.283 0.739 0.739
S 0.717 0.261 0.261
S 0.739 0.283 0.739
S 0.739 0.739 0.283
S 0.739 0.739 0.739